No. 1
The following is a calculated X-ray diffraction stick pattern of Mg2ZrCr. It was derived from a cell relaxed with GGA-PBE, using a wavelength of 1.5418 Å.

Peak list (12 most intense, 2θ from 5° to 70°, low angle first)
- 2θ = 19.7°, d 4.502, I = 46, hkl 0 1 1
- 2θ = 29.0°, d 3.076, I = 12, hkl 1 0 1
- 2θ = 32.7°, d 2.736, I = 10, hkl 0 1 3
- 2θ = 35.4°, d 2.537, I = 31, hkl 0 2 0
- 2θ = 36.8°, d 2.439, I = 24, hkl 0 0 4
- 2θ = 37.7°, d 2.384, I = 100, hkl 1 1 2
- 2θ = 39.2°, d 2.296, I = 11, hkl 1 0 3
- 2θ = 50.1°, d 1.821, I = 11, hkl 0 1 5
- 2θ = 52.0°, d 1.759, I = 17, hkl 0 2 4
- 2θ = 53.9°, d 1.702, I = 8, hkl 1 2 3
- 2θ = 65.1°, d 1.433, I = 18, hkl 1 3 2
- 2θ = 67.0°, d 1.397, I = 14, hkl 1 1 6

Cell and atoms:
```
data_Mg2ZrCr
_chemical_formula_sum 'Mg4 Zr2 Cr2'
_cell_length_a 3.241
_cell_length_b 5.075
_cell_length_c 9.757
_cell_angle_alpha 90.00
_cell_angle_beta 90.00
_cell_angle_gamma 90.00
_symmetry_space_group_name_H-M 'I m m 2'
_symmetry_Int_Tables_number 44
_symmetry_space_group_name_Hall 'I 2 -2'
loop_
_atom_site_label
_atom_site_fract_x
_atom_site_fract_y
_atom_site_fract_z
_atom_site_occupancy
Mg1 0.000 0.000 0.000 1
Mg2 0.000 0.500 0.241 1
Zr1 0.000 0.500 0.779 1
Cr1 0.000 0.000 0.503 1
```

=====

No. 2
The following is a calculated X-ray diffraction stick pattern of Mn4Cr3. It was derived from a cell relaxed with GGA-PBE, using a wavelength of 1.5418 Å.

Peak list (4 most intense, 2θ from 5° to 70°, low angle first)
- 2θ = 45.5°, d 1.992, I = 100, hkl 1 0 7
- 2θ = 45.7°, d 1.987, I = 50, hkl 1 1 0
- 2θ = 66.2°, d 1.411, I = 7, hkl 0 0 14
- 2θ = 66.6°, d 1.405, I = 14, hkl 2 0 0

Cell and atoms:
```
data_Mn4Cr3
_chemical_formula_sum 'Mn8 Cr6'
_cell_length_a 2.810
_cell_length_b 2.810
_cell_length_c 19.761
_cell_angle_alpha 90.00
_cell_angle_beta 90.00
_cell_angle_gamma 90.00
_symmetry_space_group_name_H-M 'I 4/m m m'
_symmetry_Int_Tables_number 139
_symmetry_space_group_name_Hall '-I 4 2'
loop_
_atom_site_label
_atom_site_fract_x
_atom_site_fract_y
_atom_site_fract_z
_atom_site_occupancy
Mn1 0.000 0.000 0.068 1
Mn2 0.000 0.000 0.355 1
Cr1 0.000 0.000 0.213 1
Cr2 0.000 0.000 0.500 1
```

=====

No. 3
The following is a calculated X-ray diffraction stick pattern of Mn3Cr13. It was derived from a cell relaxed with GGA-PBE, using a wavelength of 1.5418 Å.

Peak list (2 most intense, 2θ from 5° to 70°, low angle first)
- 2θ = 44.9°, d 2.018, I = 100, hkl 2 2 2
- 2θ = 65.4°, d 1.427, I = 14, hkl 4 0 0

Cell and atoms:
```
data_Mn3Cr13
_chemical_formula_sum 'Mn6 Cr26'
_cell_length_a 5.703
_cell_length_b 8.071
_cell_length_c 8.079
_cell_angle_alpha 90.00
_cell_angle_beta 90.00
_cell_angle_gamma 90.00
_symmetry_space_group_name_H-M 'A m m 2'
_symmetry_Int_Tables_number 38
_symmetry_space_group_name_Hall 'A 2 -2'
loop_
_atom_site_label
_atom_site_fract_x
_atom_site_fract_y
_atom_site_fract_z
_atom_site_occupancy
Mn1 0.000 0.000 0.000 1
Mn2 0.251 0.000 0.256 1
Cr1 0.000 0.000 0.506 1
Cr2 0.000 0.250 0.254 1
Cr3 0.251 0.000 0.754 1
Cr4 0.251 0.249 0.505 1
Cr5 0.500 0.000 0.004 1
Cr6 0.500 0.000 0.505 1
Cr7 0.500 0.248 0.754 1
```

=====

No. 4
The following is a calculated X-ray diffraction stick pattern of MnCr. It was derived from a cell relaxed with GGA-PBE, using a wavelength of 1.5418 Å.

Peak list (12 most intense, 2θ from 5° to 70°, low angle first)
- 2θ = 37.3°, d 2.409, I = 5, hkl 0 0 2
- 2θ = 42.3°, d 2.136, I = 30, hkl 2 0 2
- 2θ = 44.6°, d 2.030, I = 54, hkl 0 2 0
- 2θ = 44.8°, d 2.022, I = 38, hkl 1 1 2
- 2θ = 45.2°, d 2.007, I = 100, hkl 4 1 0
- 2θ = 48.0°, d 1.897, I = 16, hkl 3 0 2
- 2θ = 48.1°, d 1.890, I = 57, hkl 2 1 2
- 2θ = 59.6°, d 1.552, I = 2, hkl 0 2 2
- 2θ = 60.0°, d 1.542, I = 4, hkl 4 1 2
- 2θ = 63.2°, d 1.471, I = 16, hkl 2 2 2
- 2θ = 63.5°, d 1.466, I = 6, hkl 5 0 2
- 2θ = 67.6°, d 1.386, I = 10, hkl 3 2 2

Cell and atoms:
```
data_MnCr
_chemical_formula_sum 'Mn8 Cr8'
_cell_length_a 9.233
_cell_length_b 4.060
_cell_length_c 4.818
_cell_angle_alpha 90.00
_cell_angle_beta 90.00
_cell_angle_gamma 90.00
_symmetry_space_group_name_H-M 'P n m a'
_symmetry_Int_Tables_number 62
_symmetry_space_group_name_Hall '-P 2ac 2n'
loop_
_atom_site_label
_atom_site_fract_x
_atom_site_fract_y
_atom_site_fract_z
_atom_site_occupancy
Mn1 0.066 0.250 0.166 1
Mn2 0.174 0.750 0.489 1
Cr1 0.068 0.250 0.672 1
Cr2 0.185 0.750 0.984 1
```

=====

No. 5
The following is a calculated X-ray diffraction stick pattern of Mn3Cr. It was derived from a cell relaxed with GGA-PBE, using a wavelength of 1.5418 Å.

Peak list (4 most intense, 2θ from 5° to 70°, low angle first)
- 2θ = 44.3°, d 2.047, I = 33, hkl 4 0 0
- 2θ = 44.4°, d 2.039, I = 100, hkl 2 0 -2
- 2θ = 51.6°, d 1.771, I = 20, hkl 2 0 2
- 2θ = 51.8°, d 1.766, I = 41, hkl 3 1 -1

Cell and atoms:
```
data_Mn3Cr
_chemical_formula_sum 'Mn6 Cr2'
_cell_length_a 8.308
_cell_length_b 2.496
_cell_length_c 4.325
_cell_angle_alpha 90.00
_cell_angle_beta 99.79
_cell_angle_gamma 90.00
_symmetry_space_group_name_H-M 'C 1 2/m 1'
_symmetry_Int_Tables_number 12
_symmetry_space_group_name_Hall '-C 2y'
loop_
_atom_site_label
_atom_site_fract_x
_atom_site_fract_y
_atom_site_fract_z
_atom_site_occupancy
Mn1 0.000 0.000 0.000 1
Mn2 0.245 0.500 0.243 1
Cr1 0.000 0.500 0.500 1
```

=====

No. 6
The following is a calculated X-ray diffraction stick pattern of Mn3Cr. It was derived from a cell relaxed with GGA-PBE, using a wavelength of 1.5418 Å.

Peak list (6 most intense, 2θ from 5° to 70°, low angle first)
- 2θ = 41.0°, d 2.204, I = 1, hkl 0 1 3
- 2θ = 45.3°, d 2.001, I = 26, hkl 0 2 0
- 2θ = 45.7°, d 1.987, I = 100, hkl 1 1 2
- 2θ = 45.8°, d 1.980, I = 24, hkl 0 0 4
- 2θ = 66.4°, d 1.408, I = 14, hkl 0 2 4
- 2θ = 66.7°, d 1.402, I = 7, hkl 2 0 0

Cell and atoms:
```
data_Mn3Cr
_chemical_formula_sum 'Mn6 Cr2'
_cell_length_a 2.805
_cell_length_b 4.003
_cell_length_c 7.920
_cell_angle_alpha 90.00
_cell_angle_beta 90.00
_cell_angle_gamma 90.00
_symmetry_space_group_name_H-M 'I m m m'
_symmetry_Int_Tables_number 71
_symmetry_space_group_name_Hall '-I 2 2'
loop_
_atom_site_label
_atom_site_fract_x
_atom_site_fract_y
_atom_site_fract_z
_atom_site_occupancy
Mn1 0.000 0.000 0.000 1
Mn2 0.000 0.500 0.241 1
Cr1 0.000 0.000 0.500 1
```